Diffraction record for TlAu5. The X-ray powder pattern is theoretical, not measured: it uses a structure optimized by DFT (GGA-PBE) and Cu Ka.
No peak broadening, texture or thermal motion is included.

The 8 most intense peaks (10 to 90 degrees two-theta), in order of rising 2θ:
Position (°2θ)  d (Å)  I (rel.)
31.92  2.803  27
37.62  2.391  100
39.36  2.289  40
56.89  1.619  11
60.69  1.526  34
66.73  1.402  30
79.22  1.209  12
80.32  1.195  16

```
data_TlAu5
_chemical_formula_sum 'Tl1 Au5'
_cell_length_a 5.607
_cell_length_b 5.607
_cell_length_c 5.607
_cell_angle_alpha 60.00
_cell_angle_beta 60.00
_cell_angle_gamma 60.00
_space_group_name_H-M_alt 'P 1'
_space_group_IT_number 1
loop_
_space_group_symop_operation_xyz
'x,y,z'
loop_
_atom_site_label
_atom_site_type_symbol
_atom_site_fract_x
_atom_site_fract_y
_atom_site_fract_z
Tl1 Tl 0.000 0.000 0.000
Au1 Au 0.375 0.375 0.375
Au2 Au 0.375 0.375 0.874
Au3 Au 0.375 0.874 0.375
Au4 Au 0.750 0.750 0.750
Au5 Au 0.874 0.375 0.375
```

=====

Diffraction record for Fe2Co5Ir4. The X-ray powder pattern is theoretical, not measured: it uses a structure optimized by DFT (GGA-PBE) and Cu Ka.
No peak broadening, texture or thermal motion is included.

The 8 most intense peaks (10 to 90 degrees two-theta), in order of rising 2θ:
Position (°2θ)  d (Å)  I (rel.)
10.28  8.603  45
26.56  3.356  44
34.43  2.605  36
41.06  2.198  40
42.90  2.108  57
43.93  2.061  48
45.53  1.992  33
46.82  1.940  100

```
data_Fe2Co5Ir4
_chemical_formula_sum 'Fe2 Co5 Ir4'
_cell_length_a 8.760
_cell_length_b 8.760
_cell_length_c 6.229
_cell_angle_alpha 96.52
_cell_angle_beta 96.52
_cell_angle_gamma 17.30
_space_group_name_H-M_alt 'P 1'
_space_group_IT_number 1
loop_
_space_group_symop_operation_xyz
'x,y,z'
loop_
_atom_site_label
_atom_site_type_symbol
_atom_site_fract_x
_atom_site_fract_y
_atom_site_fract_z
Fe1 Fe 0.087 0.087 0.190
Fe2 Fe 0.913 0.913 0.810
Co1 Co 0.000 0.000 0.500
Co2 Co 0.228 0.228 0.322
Co3 Co 0.311 0.311 0.020
Co4 Co 0.689 0.689 0.980
Co5 Co 0.772 0.772 0.678
Ir1 Ir 0.367 0.367 0.466
Ir2 Ir 0.456 0.456 0.162
Ir3 Ir 0.544 0.544 0.838
Ir4 Ir 0.633 0.633 0.534
```